1.
Diffraction record for AcZnClO2. The X-ray powder pattern is theoretical, not measured: it uses a crystal structure in Alexandria, relaxed with PBE and Cu Kα (λ = 1.5418 Å).
Lines closer than 0.1° are merged.

The 12 most intense peaks (2θ from 10° to 90°), sorted by position:
two_theta  d_spacing  I/Imax
15.38  5.763  30
26.01  3.426  100
28.88  3.091  56
31.04  2.881  22
33.42  2.681  24
33.66  2.662  35
34.19  2.622  63
43.81  2.066  34
44.00  2.058  21
49.46  1.843  21
51.86  1.763  25
53.49  1.713  22

Structure:
Unit cell a=6.1191 b=6.1191 c=7.3263 alpha=90.00 beta=90.00 gamma=140.69
Positions (direct):
Ac (0.2218, 0.7782, 0.7500)
Ac (0.7782, 0.2218, 0.2500)
Zn (0.5000, 0.5000, 0.0000)
Zn (0.5000, 0.5000, 0.5000)
Cl (0.0503, 0.9497, 0.2500)
Cl (0.9497, 0.0503, 0.7500)
O (0.3419, 0.6581, 0.0484)
O (0.3419, 0.6581, 0.4516)
O (0.6581, 0.3419, 0.5484)
O (0.6581, 0.3419, 0.9516)

=====

2.
Diffraction record for Ac2PCl2. The X-ray powder pattern is theoretical, not measured: it uses a crystal structure in Alexandria, relaxed with PBE and Cu Kα (λ = 1.5418 Å).
Lines closer than 0.1° are merged.

The 12 most intense peaks (2θ from 10° to 90°), sorted by position:
two_theta  d_spacing  I/Imax
20.63  4.305  24
23.49  3.787  49
25.14  3.542  58
26.09  3.416  68
28.46  3.136  27
29.86  2.992  100
38.36  2.346  31
41.08  2.197  43
41.70  2.166  29
44.34  2.043  32
46.42  1.956  29
66.11  1.413  26

Structure:
Unit cell a=13.1616 b=13.1616 c=13.1616 alpha=19.22 beta=19.22 gamma=19.22
Positions (direct):
Ac (0.1227, 0.1227, 0.1227)
Ac (0.8773, 0.8773, 0.8773)
P (0.5000, 0.5000, 0.5000)
Cl (0.2549, 0.2549, 0.2549)
Cl (0.7451, 0.7451, 0.7451)

=====

3.
Diffraction record for Ac4P2SeCl. The X-ray powder pattern is theoretical, not measured: it uses a crystal structure in Alexandria, relaxed with PBE and Cu Kα (λ = 1.5418 Å).
Lines closer than 0.1° are merged.

The 12 most intense peaks (2θ from 10° to 90°), sorted by position:
two_theta  d_spacing  I/Imax
24.73  3.601  82
28.63  3.118  100
40.93  2.205  77
48.41  1.880  44
50.71  1.800  28
59.22  1.560  9
65.20  1.431  19
67.08  1.395  24
67.19  1.393  12
74.54  1.273  27
79.89  1.201  11
88.77  1.102  6

Structure:
Unit cell a=7.6335 b=7.6335 c=7.6335 alpha=131.74 beta=131.74 gamma=70.63
Positions (direct):
Ac (0.0000, 0.5000, 0.5000)
Ac (0.2483, 0.2483, 0.0000)
Ac (0.5000, 0.0000, 0.5000)
Ac (0.7517, 0.7517, 0.0000)
P (0.2500, 0.7500, 0.5000)
P (0.7500, 0.2500, 0.5000)
Se (0.0000, 0.0000, 0.0000)
Cl (0.5000, 0.5000, 0.0000)

=====

4.
Diffraction record for Ac2PbCl2. The X-ray powder pattern is theoretical, not measured: it uses a crystal structure in Alexandria, relaxed with PBE and Cu Kα (λ = 1.5418 Å).
Lines closer than 0.1° are merged.

The 12 most intense peaks (2θ from 10° to 90°), sorted by position:
two_theta  d_spacing  I/Imax
22.44  3.962  18
26.15  3.407  100
31.99  2.798  24
36.64  2.453  35
38.00  2.368  40
39.05  2.307  18
44.38  2.041  20
46.71  1.945  23
53.81  1.704  12
59.84  1.546  14
61.72  1.503  18
67.76  1.383  12

Structure:
Unit cell a=10.5610 b=10.5610 c=10.5610 alpha=25.92 beta=25.92 gamma=25.92
Positions (direct):
Ac (0.1042, 0.1042, 0.1042)
Ac (0.8958, 0.8958, 0.8958)
Pb (0.5000, 0.5000, 0.5000)
Cl (0.2774, 0.2774, 0.2774)
Cl (0.7226, 0.7226, 0.7226)

=====

5.
Diffraction record for AcPbCl6. The X-ray powder pattern is theoretical, not measured: it uses a crystal structure in Alexandria, relaxed with PBE and Cu Kα (λ = 1.5418 Å).
Lines closer than 0.1° are merged.

The 12 most intense peaks (2θ from 10° to 90°), sorted by position:
two_theta  d_spacing  I/Imax
17.35  5.112  100
23.52  3.783  50
25.69  3.467  21
29.20  3.059  12
31.17  2.870  25
35.11  2.556  18
37.96  2.370  46
39.95  2.257  13
40.82  2.211  24
44.01  2.057  20
45.30  2.002  19
60.54  1.529  12

Structure:
Unit cell a=7.6289 b=7.6289 c=7.6289 alpha=54.07 beta=54.07 gamma=54.07
Positions (direct):
Ac (0.0000, 0.0000, 0.0000)
Pb (0.5000, 0.5000, 0.5000)
Cl (0.0912, 0.7398, 0.4251)
Cl (0.2602, 0.5749, 0.9088)
Cl (0.4251, 0.0912, 0.7398)
Cl (0.5749, 0.9088, 0.2602)
Cl (0.7398, 0.4251, 0.0912)
Cl (0.9088, 0.2602, 0.5749)

=====

6.
Diffraction record for Ac3PtPbCl. The X-ray powder pattern is theoretical, not measured: it uses a crystal structure in Alexandria, relaxed with PBE and Cu Kα (λ = 1.5418 Å).
Lines closer than 0.1° are merged.

The 12 most intense peaks (2θ from 10° to 90°), sorted by position:
two_theta  d_spacing  I/Imax
25.43  3.503  36
25.62  3.477  43
25.80  3.453  24
25.97  3.430  30
28.64  3.117  100
29.37  3.041  44
31.24  2.863  40
32.48  2.757  45
38.84  2.319  49
39.90  2.260  22
40.58  2.223  21
43.65  2.074  29

Structure:
Unit cell a=8.4521 b=4.6370 c=11.0246 alpha=90.00 beta=107.61 gamma=90.00
Positions (direct):
Ac (0.0545, 0.2500, 0.3613)
Ac (0.2091, 0.2500, 0.9599)
Ac (0.4360, 0.7500, 0.6432)
Ac (0.5640, 0.2500, 0.3568)
Ac (0.7909, 0.7500, 0.0401)
Ac (0.9455, 0.7500, 0.6387)
Pt (0.1940, 0.2500, 0.6443)
Pt (0.8060, 0.7500, 0.3557)
Pb (0.2315, 0.7500, 0.2018)
Pb (0.7685, 0.2500, 0.7982)
Cl (0.4039, 0.7500, 0.9023)
Cl (0.5961, 0.2500, 0.0977)

=====

7.
Diffraction record for AcPd2Cl8. The X-ray powder pattern is theoretical, not measured: it uses a crystal structure in Alexandria, relaxed with PBE and Cu Kα (λ = 1.5418 Å).
Lines closer than 0.1° are merged.

The 12 most intense peaks (2θ from 10° to 90°), sorted by position:
two_theta  d_spacing  I/Imax
14.60  6.065  68
23.01  3.865  100
24.79  3.591  22
25.75  3.460  15
29.73  3.005  41
36.05  2.492  24
36.74  2.446  22
38.65  2.330  48
43.80  2.067  38
47.06  1.931  26
59.34  1.557  12
61.14  1.516  23

Structure:
Unit cell a=7.9784 b=7.9784 c=7.9784 alpha=128.61 beta=128.61 gamma=75.65
Positions (direct):
Ac (0.0000, 0.0000, 0.0000)
Pd (0.2500, 0.7500, 0.5000)
Pd (0.7500, 0.2500, 0.5000)
Cl (0.0526, 0.5463, 0.8420)
Cl (0.2107, 0.0526, 0.5063)
Cl (0.2957, 0.4537, 0.5063)
Cl (0.4537, 0.9474, 0.1580)
Cl (0.5463, 0.7043, 0.4937)
Cl (0.7043, 0.2107, 0.1580)
Cl (0.7893, 0.2957, 0.8420)
Cl (0.9474, 0.7893, 0.4937)

=====

8.
Diffraction record for Ac2Pr4Sn3Cl2. The X-ray powder pattern is theoretical, not measured: it uses a crystal structure in Alexandria, relaxed with PBE and Cu Kα (λ = 1.5418 Å).
Lines closer than 0.1° are merged.

The 12 most intense peaks (2θ from 10° to 90°), sorted by position:
two_theta  d_spacing  I/Imax
24.44  3.642  62
27.35  3.261  27
28.13  3.172  15
29.72  3.006  51
31.64  2.827  100
33.33  2.689  89
44.16  2.051  18
45.25  2.004  33
47.85  1.901  32
49.36  1.846  24
58.50  1.578  36
79.75  1.203  18

Structure:
Unit cell a=13.2442 b=13.2442 c=13.2442 alpha=156.58 beta=156.58 gamma=33.37
Positions (direct):
Ac (0.1999, 0.1999, 0.0000)
Ac (0.8001, 0.8001, 0.0000)
Pr (0.0849, 0.5849, 0.5000)
Pr (0.4151, 0.9151, 0.5000)
Pr (0.5849, 0.0849, 0.5000)
Pr (0.9151, 0.4151, 0.5000)
Sn (0.3333, 0.3333, 0.0000)
Sn (0.5000, 0.5000, 0.0000)
Sn (0.6667, 0.6667, 0.0000)
Cl (0.0653, 0.0653, 0.0000)
Cl (0.9347, 0.9347, 0.0000)

=====

9.
Diffraction record for AcPrTe2Cl. The X-ray powder pattern is theoretical, not measured: it uses a crystal structure in Alexandria, relaxed with PBE and Cu Kα (λ = 1.5418 Å).
Lines closer than 0.1° are merged.

The 12 most intense peaks (2θ from 10° to 90°), sorted by position:
two_theta  d_spacing  I/Imax
22.62  3.930  18
23.12  3.847  31
27.59  3.233  100
30.37  2.943  42
35.15  2.553  20
36.30  2.475  56
39.42  2.286  49
46.20  1.965  20
50.56  1.805  20
57.56  1.601  25
64.45  1.446  19
72.01  1.311  27

Structure:
Unit cell a=4.5715 b=4.5715 c=15.3872 alpha=90.00 beta=90.00 gamma=90.00
Positions (direct):
Ac (0.2500, 0.2500, 0.0920)
Ac (0.7500, 0.7500, 0.9080)
Pr (0.2500, 0.2500, 0.6302)
Pr (0.7500, 0.7500, 0.3698)
Te (0.2500, 0.2500, 0.3088)
Te (0.2500, 0.2500, 0.8659)
Te (0.7500, 0.7500, 0.1341)
Te (0.7500, 0.7500, 0.6912)
Cl (0.2500, 0.7500, 0.5000)
Cl (0.7500, 0.2500, 0.5000)

=====

10.
Diffraction record for Ac8Pt4Cl. The X-ray powder pattern is theoretical, not measured: it uses a crystal structure in Alexandria, relaxed with PBE and Cu Kα (λ = 1.5418 Å).
Lines closer than 0.1° are merged.

The 12 most intense peaks (2θ from 10° to 90°), sorted by position:
two_theta  d_spacing  I/Imax
10.55  8.386  52
12.18  7.265  65
25.71  3.465  87
26.48  3.366  45
27.12  3.288  52
27.33  3.263  100
30.15  2.965  61
32.47  2.757  38
36.07  2.490  60
37.11  2.423  30
40.88  2.208  50
41.54  2.174  88

Structure:
Unit cell a=11.1719 b=11.1719 c=14.5342 alpha=129.09 beta=129.09 gamma=22.79
Positions (direct):
Ac (0.0000, 0.0000, 0.0000)
Ac (0.0435, 0.0435, 0.7254)
Ac (0.2862, 0.2862, 0.9185)
Ac (0.3617, 0.3617, 0.3760)
Ac (0.6079, 0.6079, 0.5642)
Ac (0.6549, 0.6549, 0.3092)
Ac (0.6981, 0.6981, 0.0645)
Ac (0.9438, 0.9438, 0.2248)
Pt (0.1787, 0.1787, 0.1915)
Pt (0.4732, 0.4732, 0.1103)
Pt (0.6636, 0.6636, 0.8186)
Pt (0.9845, 0.9845, 0.4716)
Cl (0.1927, 0.1927, 0.5084)

=====

11.
Diffraction record for Ac4Pt3Cl. The X-ray powder pattern is theoretical, not measured: it uses a crystal structure in Alexandria, relaxed with PBE and Cu Kα (λ = 1.5418 Å).
Lines closer than 0.1° are merged.

The 12 most intense peaks (2θ from 10° to 90°), sorted by position:
two_theta  d_spacing  I/Imax
12.12  7.304  17
28.34  3.150  100
28.50  3.132  49
40.12  2.247  19
40.62  2.221  76
40.88  2.207  19
49.95  1.826  20
50.59  1.804  21
58.62  1.575  13
66.45  1.407  17
66.71  1.402  17
74.27  1.277  20

Structure:
Unit cell a=7.7093 b=7.7093 c=4.4149 alpha=90.00 beta=90.00 gamma=108.67
Positions (direct):
Ac (0.2307, 0.2307, 0.5000)
Ac (0.2398, 0.7602, 0.0000)
Ac (0.7602, 0.2398, 0.0000)
Ac (0.7693, 0.7693, 0.5000)
Pt (0.0000, 0.0000, 0.0000)
Pt (0.0000, 0.5000, 0.5000)
Pt (0.5000, 0.0000, 0.5000)
Cl (0.5000, 0.5000, 0.0000)

=====

12.
Diffraction record for Ac4Pt2RhCl. The X-ray powder pattern is theoretical, not measured: it uses a crystal structure in Alexandria, relaxed with PBE and Cu Kα (λ = 1.5418 Å).
Lines closer than 0.1° are merged.

The 12 most intense peaks (2θ from 10° to 90°), sorted by position:
two_theta  d_spacing  I/Imax
24.74  3.598  17
28.39  3.143  48
28.77  3.103  100
40.87  2.208  73
41.15  2.194  39
50.75  1.799  39
59.60  1.551  13
66.72  1.402  14
67.31  1.391  17
67.51  1.388  18
74.23  1.278  10
74.79  1.269  25

Structure:
Unit cell a=7.6664 b=7.6664 c=7.6664 alpha=132.26 beta=132.26 gamma=69.83
Positions (direct):
Ac (0.0000, 0.5000, 0.5000)
Ac (0.2307, 0.2307, 0.0000)
Ac (0.5000, 0.0000, 0.5000)
Ac (0.7693, 0.7693, 0.0000)
Pt (0.2500, 0.7500, 0.5000)
Pt (0.7500, 0.2500, 0.5000)
Rh (0.0000, 0.0000, 0.0000)
Cl (0.5000, 0.5000, 0.0000)